# 1
Starting from a cell relaxed with PBE+U, the powder diffractogram of MgMn6O10F2 was calculated for CuKα.
Lines closer than 0.1° are merged.

Most intense lines, 2θ from 10° to 90°, in order of rising 2θ:
- 2θ = 23.30°, I = 100, hkl -1 1 1
- 2θ = 27.86°, I = 79, hkl 1 1 -1
- 2θ = 35.71°, I = 43, hkl 2 -1 1
- 2θ = 35.84°, I = 24, hkl 0 2 0
- 2θ = 36.16°, I = 23, hkl 0 1 -3
- 2θ = 49.56°, I = 26, hkl 3 -2 0

Atomic structure:
Lattice parameters (Å, degrees): 5.7299 5.8991 7.5632 106.82 98.65 113.13
Space group P1 (No. 1)
Unique sites:
Mg 0.0000 0.0000 0.0000 x1
Mn 0.0007 0.4844 0.9873 x1
Mn 0.3376 0.5143 0.3380 x1
Mn 0.3525 0.9246 0.7802 x1
Mn 0.6299 0.0597 0.2047 x1
Mn 0.6553 0.4721 0.6452 x1
Mn 0.9882 0.0381 0.5230 x1
O 0.0166 0.1701 0.3046 x1
O 0.2509 0.3761 0.0566 x1
O 0.2686 0.8452 0.0141 x1
O 0.3643 0.1560 0.6376 x1
O 0.4213 0.6288 0.6110 x1
O 0.5703 0.3571 0.3719 x1
O 0.6181 0.8513 0.3628 x1
O 0.7161 0.1416 0.9761 x1
O 0.9119 0.3466 0.7162 x1
O 0.9669 0.8333 0.6972 x1
F 0.0687 0.6463 0.2747 x1
F 0.7386 0.6310 0.9475 x1

---

# 2
Starting from a cell relaxed with PBE+U, the powder diffractogram of MgMn6O10F2 was calculated for CuKα.
Lines closer than 0.1° are merged.

Most intense lines, 2θ from 10° to 90°, in order of rising 2θ:
- 2θ = 22.66°, I = 100, hkl 1 1 0
- 2θ = 27.69°, I = 58, hkl 1 -1 0
- 2θ = 35.03°, I = 34, hkl 0 1 3
- 2θ = 35.72°, I = 31, hkl 0 1 -3
- 2θ = 47.86°, I = 15, hkl 2 1 3
- 2θ = 53.86°, I = 20, hkl 2 -1 3

Atomic structure:
Lattice parameters (Å, degrees): 5.0363 5.1222 8.8329 88.47 88.01 78.73
Space group P1 (No. 1)
Unique sites:
Mg 0.0000 0.0000 0.0000 x1
Mn 0.4771 0.0428 0.6759 x1
Mn 0.4887 0.0449 0.3422 x1
Mn 0.4896 0.0559 0.0037 x1
Mn 0.9298 0.4949 0.1813 x1
Mn 0.9304 0.5015 0.8322 x1
Mn 0.9541 0.5142 0.5054 x1
O 0.1551 0.3333 0.0086 x1
O 0.1656 0.3464 0.6714 x1
O 0.1735 0.3429 0.3362 x1
O 0.3179 0.9026 0.8553 x1
O 0.6432 0.1850 0.4989 x1
O 0.6755 0.1794 0.1699 x1
O 0.6992 0.2039 0.8611 x1
O 0.7455 0.7064 0.3412 x1
O 0.7620 0.7139 0.6707 x1
O 0.7784 0.7265 0.0083 x1
F 0.2801 0.8809 0.1641 x1
F 0.2825 0.8786 0.4909 x1

---

# 3
Starting from a cell relaxed with PBE+U, the powder diffractogram of MgMn5O9F was calculated for CuKα.
Lines closer than 0.1° are merged.

Most intense lines, 2θ from 10° to 90°, in order of rising 2θ:
- 2θ = 17.79°, I = 100, hkl 0 1 0
- 2θ = 34.73°, I = 11, hkl 2 0 1
- 2θ = 35.37°, I = 11, hkl 1 0 -2
- 2θ = 41.66°, I = 22, hkl 2 -1 1
- 2θ = 42.85°, I = 21, hkl 1 2 3
- 2θ = 42.98°, I = 21, hkl 1 1 -2

Atomic structure:
Lattice parameters (Å, degrees): 5.2220 5.2634 7.8255 71.39 71.04 82.14
Space group P1 (No. 1)
Unique sites:
Mg 0.0000 0.0000 0.0000 x1
Mn 0.1002 0.4887 0.3000 x1
Mn 0.2852 0.5040 0.8925 x1
Mn 0.5010 0.5101 0.4923 x1
Mn 0.6790 0.5166 0.0992 x1
Mn 0.8932 0.5525 0.6814 x1
O 0.0350 0.2910 0.1272 x1
O 0.1928 0.7071 0.4245 x1
O 0.2200 0.3173 0.7351 x1
O 0.3226 0.7038 0.0520 x1
O 0.4418 0.3127 0.3351 x1
O 0.5428 0.6983 0.6594 x1
O 0.7801 0.7094 0.2600 x1
O 0.8404 0.3252 0.5367 x1
O 0.9088 0.7317 0.8680 x1
F 0.6695 0.2370 0.9527 x1

---

# 4
Starting from a cell relaxed with PBE+U, the powder diffractogram of MgMn12O14F10 was calculated for CuKα.
Lines closer than 0.1° are merged.

Most intense lines, 2θ from 10° to 90°, in order of rising 2θ:
- 2θ = 24.04°, I = 45, hkl 1 1 0
- 2θ = 24.83°, I = 55, hkl 1 -1 0
- 2θ = 28.76°, I = 40, hkl 1 1 3
- 2θ = 30.05°, I = 48, hkl -1 1 3
- 2θ = 30.43°, I = 100, hkl 1 -1 3
- 2θ = 51.42°, I = 29, hkl 2 2 3

Atomic structure:
Lattice parameters (Å, degrees): 4.7559 5.6824 15.6828 86.81 88.28 88.05
Space group P1 (No. 1)
Unique sites:
Mg 0.0000 0.0000 0.0000 x1
Mn 0.4075 0.8091 0.7782 x1
Mn 0.4362 0.1576 0.6210 x1
Mn 0.4524 0.8768 0.4586 x1
Mn 0.4655 0.1911 0.9304 x1
Mn 0.4671 0.2277 0.2990 x1
Mn 0.4834 0.9136 0.1384 x1
Mn 0.8443 0.5943 0.9619 x1
Mn 0.8928 0.3045 0.7886 x1
Mn 0.9171 0.3554 0.4690 x1
Mn 0.9180 0.6257 0.6357 x1
Mn 0.9243 0.4246 0.1468 x1
Mn 0.9297 0.6913 0.3033 x1
O 0.0390 0.2986 0.9149 x1
O 0.0716 0.6424 0.0559 x1
O 0.1055 0.5885 0.7412 x1
O 0.1434 0.3843 0.5728 x1
O 0.1782 0.4529 0.2476 x1
O 0.6121 0.8925 0.0058 x1
O 0.6240 0.0618 0.8261 x1
O 0.6350 0.8645 0.6729 x1
O 0.6386 0.1262 0.5150 x1
O 0.6715 0.1919 0.1969 x1
O 0.6766 0.9334 0.3540 x1
O 0.6868 0.3842 0.6848 x1
O 0.7212 0.4389 0.3625 x1
O 0.7335 0.6798 0.1985 x1
F 0.1374 0.8370 0.8932 x1
F 0.1476 0.1484 0.0939 x1
F 0.1676 0.6622 0.4102 x1
F 0.1734 0.0933 0.7200 x1
F 0.1778 0.8686 0.5650 x1
F 0.2068 0.9321 0.2496 x1
F 0.2137 0.1710 0.4011 x1
F 0.5858 0.5433 0.8666 x1
F 0.6160 0.3562 0.0372 x1
F 0.6986 0.6282 0.5282 x1

---

# 5
Starting from a cell relaxed with PBE+U, the powder diffractogram of MgMn4O2F8 was calculated for CuKα.
Lines closer than 0.1° are merged.

Most intense lines, 2θ from 10° to 90°, in order of rising 2θ:
- 2θ = 18.80°, I = 38, hkl 0 1 -1
- 2θ = 23.22°, I = 100, hkl 0 1 2
- 2θ = 27.05°, I = 51, hkl 0 1 -3
- 2θ = 40.12°, I = 70, hkl 1 1 -1
- 2θ = 40.59°, I = 58, hkl 1 1 1
- 2θ = 59.55°, I = 44, hkl 2 -1 0

Atomic structure:
Lattice parameters (Å, degrees): 3.1062 5.2321 12.6477 92.57 90.03 107.22
Space group P1 (No. 1)
Unique sites:
Mg 0.0000 0.0000 0.0000 x1
Mn 0.0368 0.0750 0.2858 x1
Mn 0.5689 0.1388 0.7762 x1
Mn 0.7399 0.4822 0.1382 x1
Mn 0.8823 0.7653 0.5664 x1
O 0.1008 0.2033 0.1447 x1
O 0.4697 0.9402 0.6368 x1
F 0.1934 0.3886 0.7502 x1
F 0.2725 0.5455 0.5131 x1
F 0.3691 0.7366 0.0393 x1
F 0.3941 0.7926 0.2435 x1
F 0.6187 0.2384 0.9637 x1
F 0.6665 0.3334 0.3118 x1
F 0.9518 0.9045 0.8478 x1
F 0.9822 0.9659 0.4260 x1

---

# 6
Starting from a cell relaxed with PBE+U, the powder diffractogram of MgMn6O10F2 was calculated for CuKα.
Lines closer than 0.1° are merged.

Most intense lines, 2θ from 10° to 90°, in order of rising 2θ:
- 2θ = 23.39°, I = 100, hkl 1 1 1
- 2θ = 27.75°, I = 78, hkl -1 1 1
- 2θ = 35.66°, I = 41, hkl 0 2 -1
- 2θ = 35.75°, I = 23, hkl 2 0 0
- 2θ = 36.28°, I = 25, hkl 0 0 3
- 2θ = 49.58°, I = 23, hkl 1 3 0

Atomic structure:
Lattice parameters (Å, degrees): 5.0946 5.7367 7.5329 81.54 84.38 81.47
Space group P1 (No. 1)
Unique sites:
Mg 0.0000 0.0000 0.0000 x1
Mn 0.0923 0.3906 0.1905 x1
Mn 0.4805 0.1619 0.8176 x1
Mn 0.4812 0.5119 0.5128 x1
Mn 0.5015 0.8275 0.1805 x1
Mn 0.9207 0.6128 0.8190 x1
Mn 0.9644 0.9672 0.4938 x1
O 0.1378 0.3229 0.9243 x1
O 0.1450 0.6684 0.5917 x1
O 0.1570 0.0184 0.2561 x1
O 0.3598 0.2088 0.5940 x1
O 0.3709 0.8712 0.9419 x1
O 0.3770 0.5416 0.2710 x1
O 0.6237 0.4538 0.7417 x1
O 0.6452 0.7935 0.4089 x1
O 0.8269 0.9666 0.7517 x1
O 0.8493 0.6807 0.0733 x1
F 0.6378 0.1453 0.0751 x1
F 0.8276 0.3105 0.4212 x1

---

# 7
Starting from a cell relaxed with PBE+U, the powder diffractogram of MgMn6O6F6 was calculated for CuKα.
Lines closer than 0.1° are merged.

Most intense lines, 2θ from 10° to 90°, in order of rising 2θ:
- 2θ = 23.85°, I = 100, hkl 1 1 1
- 2θ = 26.75°, I = 73, hkl -1 1 1
- 2θ = 32.65°, I = 28, hkl 1 1 -2
- 2θ = 33.87°, I = 30, hkl 0 2 -1
- 2θ = 46.27°, I = 24, hkl 2 2 -1
- 2θ = 48.82°, I = 23, hkl 2 2 2

Atomic structure:
Lattice parameters (Å, degrees): 5.0874 5.9336 7.7912 84.26 90.00 81.72
Space group P-1 (No. 2)
Unique sites:
Mg 0.0000 0.0000 0.0000 x1
Mn 0.0000 0.5000 0.0000 x1
Mn 0.0104 0.8054 0.6320 x2
Mn 0.4726 0.6630 0.3183 x2
Mn 0.5000 0.0000 0.0000 x1
O 0.2096 0.8836 0.4316 x2
O 0.2118 0.5369 0.7642 x2
O 0.2859 0.7373 0.0947 x2
F 0.1997 0.1972 0.1347 x2
F 0.2352 0.0467 0.7973 x2
F 0.3124 0.3745 0.4536 x2

---

# 8
Starting from a cell relaxed with PBE+U, the powder diffractogram of MgMn6O6F6 was calculated for CuKα.
Lines closer than 0.1° are merged.

Most intense lines, 2θ from 10° to 90°, in order of rising 2θ:
- 2θ = 25.35°, I = 100, hkl 1 -1 0
- 2θ = 25.84°, I = 88, hkl 1 1 0
- 2θ = 33.40°, I = 34, hkl 0 1 -3
- 2θ = 33.75°, I = 68, hkl 0 1 3
- 2θ = 38.38°, I = 35, hkl 1 1 -3
- 2θ = 50.77°, I = 33, hkl 1 2 3

Atomic structure:
Lattice parameters (Å, degrees): 4.8334 5.0165 9.4660 90.55 90.53 91.06
Space group P1 (No. 1)
Unique sites:
Mg 0.0000 0.0000 0.0000 x1
Mn 0.0253 0.5743 0.3401 x1
Mn 0.4773 0.0670 0.4991 x1
Mn 0.4804 0.0781 0.8212 x1
Mn 0.5275 0.0049 0.1830 x1
Mn 0.9390 0.4933 0.0038 x1
Mn 0.9936 0.4813 0.6627 x1
O 0.1158 0.2853 0.8586 x1
O 0.1766 0.3412 0.4942 x1
O 0.3344 0.8474 0.3379 x1
O 0.6577 0.2550 0.6573 x1
O 0.6591 0.2044 0.0149 x1
O 0.8422 0.7425 0.1540 x1
F 0.1713 0.2501 0.1534 x1
F 0.2848 0.8052 0.6770 x1
F 0.3065 0.7674 0.9955 x1
F 0.6962 0.2812 0.3278 x1
F 0.7960 0.7786 0.5051 x1
F 0.8175 0.7608 0.8469 x1